(1)
This entry pairs a crystal structure of Dy6Al7 with its simulated XRD peak list. Radiation: copper Kα. Structure: a crystal structure in Alexandria, relaxed with GGA-PBE.

Peak list (10 most intense, 2θ = 5–70°, sorted by position)
- (0 0 6), 16.94°, intensity 19.7
- (1 0 1), 18.30°, intensity 28.7
- (1 0 4), 21.35°, intensity 21.7
- (1 1 0), 31.58°, intensity 100.0
- (1 0 10), 33.89°, intensity 69.0
- (1 1 6), 36.04°, intensity 47.5
- (0 1 11), 36.41°, intensity 39.9
- (3 0 0), 56.23°, intensity 19.7
- (2 1 10), 57.72°, intensity 29.9
- (1 2 11), 59.42°, intensity 19.1

```
data_Dy6Al7
_chemical_formula_sum 'Dy18 Al21'
_symmetry_space_group_name_H-M 'R -3 m'
_symmetry_Int_Tables_number 166
_symmetry_space_group_name_Hall '-R 3 2"'
_cell_length_a 5.6670
_cell_length_b 5.6670
_cell_length_c 31.4057
_cell_angle_alpha 90.00
_cell_angle_beta 90.00
_cell_angle_gamma 120.00
loop_
_atom_site_label
_atom_site_type_symbol
_atom_site_fract_x
_atom_site_fract_y
_atom_site_fract_z
Dy1 Dy 0.0000 0.0000 0.0506
Dy2 Dy 0.0000 0.0000 0.1492
Dy3 Dy 0.0000 0.0000 0.3349
Al1 Al 0.0000 0.0000 0.5000
Al2 Al 0.0057 0.5028 0.9052
```

(2)
This entry pairs a crystal structure of MgBeMo2 with its simulated XRD peak list. Radiation: copper Kα. Structure: a crystal structure in Alexandria, relaxed with GGA-PBE.

Peak list (10 most intense, 2θ = 5–70°, sorted by position)
- (0 0 1), 17.86°, intensity 76.7
- (2 0 -1), 25.17°, intensity 21.0
- (2 0 1), 28.19°, intensity 27.7
- (1 1 0), 35.03°, intensity 29.6
- (2 0 -2), 39.44°, intensity 34.3
- (1 1 1), 40.08°, intensity 100.0
- (2 0 2), 43.53°, intensity 25.8
- (3 1 -1), 47.83°, intensity 38.7
- (1 1 -3), 66.25°, intensity 14.5
- (5 1 1), 67.06°, intensity 16.6

```
data_MgBeMo2
_chemical_formula_sum 'Mg2 Be2 Mo4'
_symmetry_space_group_name_H-M 'C 1 m 1'
_symmetry_Int_Tables_number 8
_symmetry_space_group_name_Hall 'C -2y'
_cell_length_a 9.0674
_cell_length_b 2.6721
_cell_length_c 4.9964
_cell_angle_alpha 90.00
_cell_angle_beta 96.38
_cell_angle_gamma 90.00
loop_
_atom_site_label
_atom_site_type_symbol
_atom_site_fract_x
_atom_site_fract_y
_atom_site_fract_z
Mg1 Mg 0.0000 0.0000 0.0000
Be1 Be 0.2499 0.5000 0.2366
Mo1 Mo 0.2412 0.0000 0.7160
Mo2 Mo 0.4782 0.0000 0.4846
```

(3)
This entry pairs a crystal structure of Ba5TcN4F2 with its simulated XRD peak list. Radiation: copper Kα. Structure: a crystal structure in Alexandria, relaxed with GGA-PBE.

Peak list (10 most intense, 2θ = 5–70°, sorted by position)
- (0 0 2), 27.35°, intensity 47.3
- (2 1 1), 27.74°, intensity 84.1
- (2 2 0), 28.26°, intensity 43.1
- (0 3 1), 28.91°, intensity 100.0
- (2 3 1), 36.95°, intensity 15.6
- (2 2 2), 39.73°, intensity 52.1
- (2 1 3), 48.59°, intensity 16.0
- (0 3 3), 49.32°, intensity 21.7
- (2 5 1), 51.14°, intensity 26.7
- (4 3 1), 55.22°, intensity 24.7

```
data_Ba5TcN4F2
_chemical_formula_sum 'Ba10 Tc2 N8 F4'
_symmetry_space_group_name_H-M 'A m m 2'
_symmetry_Int_Tables_number 38
_symmetry_space_group_name_Hall 'A 2 -2'
_cell_length_a 7.8973
_cell_length_b 10.5210
_cell_length_c 6.5213
_cell_angle_alpha 90.00
_cell_angle_beta 90.00
_cell_angle_gamma 90.00
loop_
_atom_site_label
_atom_site_type_symbol
_atom_site_fract_x
_atom_site_fract_y
_atom_site_fract_z
Ba1 Ba 0.0000 0.0000 0.0000
Ba2 Ba 0.2725 0.1772 0.4628
Tc1 Tc 0.5000 0.0000 0.9712
N1 N 0.3169 0.0000 0.1627
N2 N 0.5000 0.1465 0.8089
F1 F 0.0000 0.2373 0.2053
```

(4)
This entry pairs a crystal structure of CsRbSm2I8 with its simulated XRD peak list. Radiation: copper Kα. Structure: a crystal structure in Alexandria, relaxed with GGA-PBE.

Peak list (10 most intense, 2θ = 5–70°, sorted by position)
- (0 0 1), 9.19°, intensity 59.2
- (1 1 0), 20.73°, intensity 32.5
- (1 1 1), 22.71°, intensity 62.4
- (0 2 1), 25.73°, intensity 32.3
- (2 -1 2), 27.87°, intensity 100.0
- (1 0 3), 30.36°, intensity 27.7
- (3 -2 1), 33.27°, intensity 42.3
- (3 0 0), 36.31°, intensity 55.3
- (2 0 3), 37.06°, intensity 33.9
- (1 2 3), 42.82°, intensity 36.2

```
data_CsRbSm2I8
_chemical_formula_sum 'Cs1 Rb1 Sm2 I8'
_symmetry_space_group_name_H-M 'P -3'
_symmetry_Int_Tables_number 147
_symmetry_space_group_name_Hall '-P 3'
_cell_length_a 8.5706
_cell_length_b 8.5706
_cell_length_c 9.6241
_cell_angle_alpha 90.00
_cell_angle_beta 90.00
_cell_angle_gamma 120.00
loop_
_atom_site_label
_atom_site_type_symbol
_atom_site_fract_x
_atom_site_fract_y
_atom_site_fract_z
Cs1 Cs 0.0000 0.0000 0.0000
Rb1 Rb 0.0000 0.0000 0.5000
Sm1 Sm 0.3333 0.6667 0.4136
I1 I 0.0592 0.3967 0.6553
I2 I 0.3333 0.6667 0.1003
```

(5)
This entry pairs a crystal structure of SrLaGe3 with its simulated XRD peak list. Radiation: copper Kα. Structure: a crystal structure in Alexandria, relaxed with GGA-PBE.

Peak list (10 most intense, 2θ = 5–70°, sorted by position)
- (0 2 0), 6.36°, intensity 19.7
- (1 7 0), 29.99°, intensity 54.7
- (1 3 1), 30.66°, intensity 100.0
- (1 5 1), 33.32°, intensity 25.8
- (0 10 1), 38.83°, intensity 41.5
- (2 0 0), 40.05°, intensity 28.6
- (0 0 2), 43.06°, intensity 23.2
- (1 15 0), 53.39°, intensity 32.6
- (2 10 1), 57.01°, intensity 26.7
- (2 0 2), 60.25°, intensity 18.3

```
data_SrLaGe3
_chemical_formula_sum 'Sr4 La4 Ge12'
_symmetry_space_group_name_H-M 'C m c m'
_symmetry_Int_Tables_number 63
_symmetry_space_group_name_Hall '-C 2c 2'
_cell_length_a 4.5027
_cell_length_b 27.8146
_cell_length_c 4.2017
_cell_angle_alpha 90.00
_cell_angle_beta 90.00
_cell_angle_gamma 90.00
loop_
_atom_site_label
_atom_site_type_symbol
_atom_site_fract_x
_atom_site_fract_y
_atom_site_fract_z
Sr1 Sr 0.0000 0.2025 0.2500
La1 La 0.0000 0.0714 0.7500
Ge1 Ge 0.0000 0.3257 0.2500
Ge2 Ge 0.0000 0.3810 0.7500
Ge3 Ge 0.0000 0.4745 0.7500
```

(6)
This entry pairs a crystal structure of NaInF2 with its simulated XRD peak list. Radiation: copper Kα. Structure: a crystal structure in Alexandria, relaxed with GGA-PBE.

Peak list (10 most intense, 2θ = 5–70°, sorted by position)
- (0 0 1), 13.43°, intensity 81.1
- (0 0 2), 27.05°, intensity 26.9
- (1 0 0), 29.43°, intensity 39.5
- (1 0 1), 32.47°, intensity 63.0
- (1 0 2), 40.40°, intensity 100.0
- (1 1 0), 42.10°, intensity 46.6
- (1 1 1), 44.39°, intensity 17.2
- (1 1 2), 50.76°, intensity 19.9
- (1 1 3), 60.28°, intensity 13.2
- (2 0 0), 61.06°, intensity 14.0

```
data_NaInF2
_chemical_formula_sum 'Na1 In1 F2'
_symmetry_space_group_name_H-M 'P 4/m m m'
_symmetry_Int_Tables_number 123
_symmetry_space_group_name_Hall '-P 4 2'
_cell_length_a 3.0352
_cell_length_b 3.0352
_cell_length_c 6.5929
_cell_angle_alpha 90.00
_cell_angle_beta 90.00
_cell_angle_gamma 90.00
loop_
_atom_site_label
_atom_site_type_symbol
_atom_site_fract_x
_atom_site_fract_y
_atom_site_fract_z
Na1 Na 0.0000 0.0000 0.0000
In1 In 0.0000 0.0000 0.5000
F1 F 0.5000 0.5000 0.2094
```

(7)
This entry pairs a crystal structure of DyHoPaO6 with its simulated XRD peak list. Radiation: copper Kα. Structure: a crystal structure in Alexandria, relaxed with GGA-PBE.

Peak list (10 most intense, 2θ = 5–70°, sorted by position)
- (1 0 1), 26.09°, intensity 100.0
- (1 1 0), 30.98°, intensity 53.5
- (0 0 2), 38.51°, intensity 8.3
- (2 0 1), 40.94°, intensity 30.9
- (2 -1 2), 50.22°, intensity 40.1
- (2 1 1), 52.21°, intensity 30.9
- (3 0 0), 55.11°, intensity 17.3
- (1 0 3), 62.42°, intensity 9.1
- (2 2 0), 64.57°, intensity 7.1
- (3 0 2), 69.24°, intensity 10.1

```
data_DyHoPaO6
_chemical_formula_sum 'Dy1 Ho1 Pa1 O6'
_symmetry_space_group_name_H-M 'P 3 1 2'
_symmetry_Int_Tables_number 149
_symmetry_space_group_name_Hall 'P 3 2'
_cell_length_a 5.7731
_cell_length_b 5.7731
_cell_length_c 4.6753
_cell_angle_alpha 90.00
_cell_angle_beta 90.00
_cell_angle_gamma 120.00
loop_
_atom_site_label
_atom_site_type_symbol
_atom_site_fract_x
_atom_site_fract_y
_atom_site_fract_z
Dy1 Dy 0.0000 0.0000 0.0000
Ho1 Ho 0.3333 0.6667 0.0000
Pa1 Pa 0.6667 0.3333 0.5000
O1 O 0.3478 0.0129 0.2448
```

(8)
This entry pairs a crystal structure of Sm4Tm4Sc with its simulated XRD peak list. Radiation: copper Kα. Structure: a crystal structure in Alexandria, relaxed with GGA-PBE.

Peak list (10 most intense, 2θ = 5–70°, sorted by position)
- (2 0 0), 16.75°, intensity 2.2
- (1 0 1), 19.68°, intensity 3.5
- (2 1 1), 25.95°, intensity 1.8
- (3 1 0), 26.63°, intensity 1.7
- (3 0 1), 31.05°, intensity 100.0
- (3 2 1), 35.48°, intensity 1.5
- (0 0 2), 36.00°, intensity 50.5
- (3 3 2), 51.83°, intensity 35.6
- (3 0 3), 61.66°, intensity 42.1
- (6 0 2), 64.73°, intensity 12.1

```
data_Sm4Tm4Sc
_chemical_formula_sum 'Sm8 Tm8 Sc2'
_symmetry_space_group_name_H-M 'I 4/m m m'
_symmetry_Int_Tables_number 139
_symmetry_space_group_name_Hall '-I 4 2'
_cell_length_a 10.5868
_cell_length_b 10.5868
_cell_length_c 4.9855
_cell_angle_alpha 90.00
_cell_angle_beta 90.00
_cell_angle_gamma 90.00
loop_
_atom_site_label
_atom_site_type_symbol
_atom_site_fract_x
_atom_site_fract_y
_atom_site_fract_z
Sm1 Sm 0.0000 0.3291 0.0000
Tm1 Tm 0.1640 0.1640 0.5000
Sc1 Sc 0.0000 0.0000 0.0000
```

(9)
This entry pairs a crystal structure of PaAgRhO6 with its simulated XRD peak list. Radiation: copper Kα. Structure: a crystal structure in Alexandria, relaxed with GGA-PBE.

Peak list (10 most intense, 2θ = 5–70°, sorted by position)
- (0 0 2), 18.93°, intensity 25.6
- (1 0 1), 20.98°, intensity 20.2
- (1 0 2), 26.73°, intensity 100.0
- (1 1 0), 32.68°, intensity 59.3
- (1 1 2), 38.04°, intensity 26.4
- (0 0 4), 38.40°, intensity 10.0
- (2 0 2), 42.71°, intensity 27.7
- (1 1 4), 51.29°, intensity 50.0
- (2 1 2), 54.79°, intensity 26.8
- (3 0 0), 58.33°, intensity 19.2

```
data_PaAgRhO6
_chemical_formula_sum 'Pa2 Ag2 Rh2 O12'
_symmetry_space_group_name_H-M 'P -3 1 c'
_symmetry_Int_Tables_number 163
_symmetry_space_group_name_Hall '-P 3 2c'
_cell_length_a 5.4800
_cell_length_b 5.4800
_cell_length_c 9.3775
_cell_angle_alpha 90.00
_cell_angle_beta 90.00
_cell_angle_gamma 120.00
loop_
_atom_site_label
_atom_site_type_symbol
_atom_site_fract_x
_atom_site_fract_y
_atom_site_fract_z
Pa1 Pa 0.3333 0.6667 0.2500
Ag1 Ag 0.0000 0.0000 0.0000
Rh1 Rh 0.3333 0.6667 0.7500
O1 O 0.0221 0.3684 0.6340
```

(10)
This entry pairs a crystal structure of Ac2InSnPb with its simulated XRD peak list. Radiation: copper Kα. Structure: a crystal structure in Alexandria, relaxed with GGA-PBE.

Peak list (10 most intense, 2θ = 5–70°, sorted by position)
- (2 0 0), 24.56°, intensity 15.3
- (1 1 -2), 28.68°, intensity 100.0
- (1 0 3), 29.71°, intensity 12.5
- (2 0 2), 30.55°, intensity 14.8
- (2 1 1), 32.25°, intensity 35.7
- (0 0 4), 36.25°, intensity 17.2
- (0 2 0), 37.51°, intensity 20.6
- (0 2 4), 53.15°, intensity 11.7
- (2 1 5), 56.26°, intensity 18.4
- (1 3 -2), 62.37°, intensity 11.6

```
data_Ac2InSnPb
_chemical_formula_sum 'Ac4 In2 Sn2 Pb2'
_symmetry_space_group_name_H-M 'P 1 21/m 1'
_symmetry_Int_Tables_number 11
_symmetry_space_group_name_Hall '-P 2yb'
_cell_length_a 7.2490
_cell_length_b 4.7956
_cell_length_c 9.9136
_cell_angle_alpha 90.00
_cell_angle_beta 90.04
_cell_angle_gamma 90.00
loop_
_atom_site_label
_atom_site_type_symbol
_atom_site_fract_x
_atom_site_fract_y
_atom_site_fract_z
Ac1 Ac 0.2462 0.2500 0.4711
Ac2 Ac 0.2469 0.2500 0.0289
In1 In 0.4539 0.7500 0.2503
Sn1 Sn 0.0513 0.7500 0.2496
Pb1 Pb 0.2634 0.7500 0.7498
```

(11)
This entry pairs a crystal structure of Nd6DyTm2 with its simulated XRD peak list. Radiation: copper Kα. Structure: a crystal structure in Alexandria, relaxed with GGA-PBE.

Peak list (10 most intense, 2θ = 5–70°, sorted by position)
- (6 2 0), 31.04°, intensity 100.0
- (2 0 -2), 31.20°, intensity 37.4
- (1 3 -1), 31.31°, intensity 74.1
- (5 3 1), 40.54°, intensity 12.9
- (4 2 2), 44.61°, intensity 24.8
- (6 4 0), 44.72°, intensity 12.1
- (12 0 0), 51.60°, intensity 9.0
- (3 1 3), 55.42°, intensity 13.0
- (3 3 -3), 55.58°, intensity 40.5
- (11 3 1), 61.59°, intensity 31.7

```
data_Nd6DyTm2
_chemical_formula_sum 'Nd24 Dy4 Tm8'
_symmetry_space_group_name_H-M 'C 1 2/c 1'
_symmetry_Int_Tables_number 15
_symmetry_space_group_name_Hall '-C 2yc'
_cell_length_a 22.0125
_cell_length_b 9.8837
_cell_length_c 5.7328
_cell_angle_alpha 90.00
_cell_angle_beta 105.08
_cell_angle_gamma 90.00
loop_
_atom_site_label
_atom_site_type_symbol
_atom_site_fract_x
_atom_site_fract_y
_atom_site_fract_z
Nd1 Nd 0.0848 0.0826 0.3330
Nd2 Nd 0.0848 0.4164 0.3355
Nd3 Nd 0.1697 0.2504 0.9196
Dy1 Dy 0.0000 0.2503 0.7500
Tm1 Tm 0.2499 0.0832 0.5011
```

(12)
This entry pairs a crystal structure of Sr2ZrRuSe with its simulated XRD peak list. Radiation: copper Kα. Structure: a crystal structure in Alexandria, relaxed with GGA-PBE.

Peak list (10 most intense, 2θ = 5–70°, sorted by position)
- (1 0 0), 14.85°, intensity 21.4
- (1 0 1), 24.43°, intensity 22.7
- (1 1 1), 28.71°, intensity 66.1
- (2 0 0), 29.96°, intensity 100.0
- (2 1 1), 39.03°, intensity 12.8
- (0 0 2), 39.16°, intensity 24.0
- (2 2 0), 42.89°, intensity 36.8
- (2 0 2), 50.08°, intensity 46.5
- (3 1 1), 52.44°, intensity 27.1
- (2 2 2), 59.45°, intensity 31.1

```
data_Sr2ZrRuSe
_chemical_formula_sum 'Sr2 Zr1 Ru1 Se1'
_symmetry_space_group_name_H-M 'P 4/m m m'
_symmetry_Int_Tables_number 123
_symmetry_space_group_name_Hall '-P 4 2'
_cell_length_a 5.9642
_cell_length_b 5.9642
_cell_length_c 4.6011
_cell_angle_alpha 90.00
_cell_angle_beta 90.00
_cell_angle_gamma 90.00
loop_
_atom_site_label
_atom_site_type_symbol
_atom_site_fract_x
_atom_site_fract_y
_atom_site_fract_z
Sr1 Sr 0.0000 0.5000 0.0000
Zr1 Zr 0.0000 0.0000 0.5000
Ru1 Ru 0.5000 0.5000 0.0000
Se1 Se 0.5000 0.5000 0.5000
```

(13)
This entry pairs a crystal structure of CrCu2Hg with its simulated XRD peak list. Radiation: copper Kα. Structure: a crystal structure in Alexandria, relaxed with GGA-PBE.

Peak list (10 most intense, 2θ = 5–70°, sorted by position)
- (0 2 0), 19.86°, intensity 25.3
- (1 1 0), 20.69°, intensity 71.6
- (1 1 -1), 32.66°, intensity 24.4
- (1 3 0), 35.26°, intensity 20.1
- (2 0 -1), 37.67°, intensity 60.3
- (0 2 1), 40.25°, intensity 100.0
- (0 4 0), 40.35°, intensity 49.6
- (2 2 0), 42.10°, intensity 87.9
- (2 4 -1), 56.39°, intensity 36.2
- (2 2 -2), 68.44°, intensity 19.8

```
data_CrCu2Hg
_chemical_formula_sum 'Cr2 Cu4 Hg2'
_symmetry_space_group_name_H-M 'C 1 2/m 1'
_symmetry_Int_Tables_number 12
_symmetry_space_group_name_Hall '-C 2y'
_cell_length_a 5.4677
_cell_length_b 8.9408
_cell_length_c 2.8927
_cell_angle_alpha 90.00
_cell_angle_beta 116.48
_cell_angle_gamma 90.00
loop_
_atom_site_label
_atom_site_type_symbol
_atom_site_fract_x
_atom_site_fract_y
_atom_site_fract_z
Cr1 Cr 0.0000 0.0000 0.0000
Cu1 Cu 0.2500 0.2500 0.5000
Hg1 Hg 0.0000 0.5000 0.0000
```

(14)
This entry pairs a crystal structure of Ca4Cu with its simulated XRD peak list. Radiation: copper Kα. Structure: a crystal structure in Alexandria, relaxed with GGA-PBE.

Peak list (10 most intense, 2θ = 5–70°, sorted by position)
- (1 0 1), 17.72°, intensity 39.8
- (1 1 0), 18.42°, intensity 28.5
- (2 1 0), 29.32°, intensity 38.0
- (1 1 2), 30.52°, intensity 100.0
- (2 1 1), 31.78°, intensity 86.5
- (2 0 2), 35.88°, intensity 41.3
- (2 2 0), 37.33°, intensity 27.3
- (1 0 3), 38.93°, intensity 24.6
- (2 0 4), 56.77°, intensity 22.0
- (3 2 3), 61.93°, intensity 20.3

```
data_Ca4Cu
_chemical_formula_sum 'Ca8 Cu2'
_symmetry_space_group_name_H-M 'P -4 21 c'
_symmetry_Int_Tables_number 114
_symmetry_space_group_name_Hall 'P -4 2n'
_cell_length_a 6.8124
_cell_length_b 6.8124
_cell_length_c 7.3789
_cell_angle_alpha 90.00
_cell_angle_beta 90.00
_cell_angle_gamma 90.00
loop_
_atom_site_label
_atom_site_type_symbol
_atom_site_fract_x
_atom_site_fract_y
_atom_site_fract_z
Ca1 Ca 0.1638 0.2642 0.3405
Cu1 Cu 0.0000 0.0000 0.0000
```